Starting from a crystal structure in the Materials Project, relaxed with PBE, the XRD peak list of Ba2In3Au was computed for Cu Kα.
No peak broadening, texture or thermal motion is included.

Atomic structure:
a b c (Å): 12.0199 5.1246 8.4248
angles (deg): 90.00 132.13 90.00
Space group Cm (No. 8)
Asymmetric unit:
Ba 0.0000 0.0000 0.0000
Ba 0.0927 0.0000 0.6003
In 0.2091 0.5000 0.3973
In 0.3726 0.0000 0.1933
In 0.3899 0.0000 0.5822
Au 0.2111 0.5000 0.0177

Principal peaks in the range 5 to 70 degrees two-theta, by angle:
hkl 1 1 1, 28.3°, rel. 42.2; hkl 0 0 2, 28.6°, rel. 31.5; hkl 1 1 -2, 28.9°, rel. 91.1; hkl 3 1 -2, 29.5°, rel. 71.1; hkl 2 0 -3, 33.1°, rel. 26.3; hkl 4 0 -3, 33.9°, rel. 29.6; hkl 3 1 0, 34.9°, rel. 100.0; hkl 0 2 0, 35.0°, rel. 64.0; hkl 1 1 3, 54.6°, rel. 25.0; hkl 7 1 -3, 56.7°, rel. 23.5

Starting from a crystal structure in the Materials Project, relaxed with PBE, the XRD peak list of BaPAu was computed for Cu Kα.
No peak broadening, texture or thermal motion is included.

Atomic structure:
a b c (Å): 4.4693 4.4693 9.1840
angles (deg): 90.00 90.00 120.00
Space group P6_3/mmc (No. 194)
Asymmetric unit:
Ba 0.0000 0.0000 0.0000
P 0.3333 0.6667 0.2500
Au 0.3333 0.6667 0.7500

Principal peaks in the range 5 to 70 degrees two-theta, by angle:
hkl 1 0 1, 25.0°, rel. 53.7; hkl 1 0 2, 30.2°, rel. 100.0; hkl 1 0 3, 37.5°, rel. 19.8; hkl 0 0 4, 39.2°, rel. 17.6; hkl 1 1 0, 40.4°, rel. 48.8; hkl 2 0 1, 48.0°, rel. 10.0; hkl 2 0 2, 51.2°, rel. 22.7; hkl 1 1 4, 57.6°, rel. 34.5; hkl 1 0 6, 65.6°, rel. 10.9; hkl 2 1 2, 67.2°, rel. 20.3

Starting from a crystal structure in the Materials Project, relaxed with PBE, the XRD peak list of BaSb2Au2 was computed for Cu Kα.
No peak broadening, texture or thermal motion is included.

Atomic structure:
a b c (Å): 4.9951 4.8751 11.3047
angles (deg): 90.00 91.24 90.00
Space group P2_1/m (No. 11)
Asymmetric unit:
Ba 0.2377 0.2500 0.2441
Sb 0.2527 0.7500 0.4989
Sb 0.3049 0.2500 0.8763
Au 0.1897 0.7500 0.9993
Au 0.2482 0.2500 0.6338

Principal peaks in the range 5 to 70 degrees two-theta, by angle:
hkl 0 0 2, 15.7°, rel. 17.6; hkl 1 1 -2, 29.9°, rel. 100.0; hkl 1 0 3, 30.0°, rel. 25.6; hkl 1 1 2, 30.3°, rel. 45.2; hkl 2 0 0, 36.0°, rel. 40.0; hkl 0 2 0, 36.9°, rel. 50.0; hkl 1 1 -4, 40.8°, rel. 28.2; hkl 1 1 4, 41.4°, rel. 26.9; hkl 0 1 5, 44.1°, rel. 21.3; hkl 2 2 0, 52.5°, rel. 27.2